(1)
Structure and calculated PXRD pattern of Ba3I5 (a GGA-PBE-relaxed structure; Cu Kα X-rays).

Cell and atoms:
Cell: 9.960 9.960 8.470 Å, 90.00 90.00 120.00°
Fractional coordinates of all 16 atoms:
Ba 0.000 0.400 0.250
Ba 0.000 0.600 0.750
Ba 0.400 0.000 0.250
Ba 0.400 0.400 0.750
Ba 0.600 0.000 0.750
Ba 0.600 0.600 0.250
I 0.000 0.255 0.750
I 0.000 0.745 0.250
I 0.255 0.000 0.750
I 0.255 0.255 0.250
I 0.333 0.667 0.000
I 0.333 0.667 0.500
I 0.667 0.333 0.000
I 0.667 0.333 0.500
I 0.745 0.000 0.250
I 0.745 0.745 0.750

Main lines, in order of rising 2θ (10 to 90 degrees two-theta):
2θ (°)	d (Å)	intensity
20.98	4.235	288
27.36	3.260	238
27.65	3.226	1000
29.36	3.043	953
31.11	2.875	446
39.13	2.302	222
42.10	2.146	165
42.35	2.134	347
42.70	2.118	171
53.76	1.705	186

=====

(2)
Structure and calculated PXRD pattern of Ba8AsO6 (a GGA-PBE-relaxed structure; Cu Kα X-rays).

Cell and atoms:
Cell: 7.567 7.567 7.567 Å, 92.24 92.24 92.24°
Fractional coordinates of all 15 atoms:
Ba 0.117 0.781 0.350
Ba 0.219 0.650 0.883
Ba 0.226 0.226 0.226
Ba 0.350 0.117 0.781
Ba 0.650 0.883 0.219
Ba 0.774 0.774 0.774
Ba 0.781 0.350 0.117
Ba 0.883 0.219 0.650
As 0.500 0.500 0.500
O 0.077 0.887 0.674
O 0.113 0.326 0.923
O 0.326 0.923 0.113
O 0.674 0.077 0.887
O 0.887 0.674 0.077
O 0.923 0.113 0.326

Main lines, in order of rising 2θ (10 to 90 degrees two-theta):
2θ (°)	d (Å)	intensity
23.55	3.777	426
25.94	3.435	298
26.81	3.325	1000
28.34	3.149	856
34.25	2.618	280
34.98	2.565	254
38.13	2.360	174
39.41	2.286	214
44.20	2.049	291
51.18	1.785	269

=====

(3)
Structure and calculated PXRD pattern of In2HgS3Br (a GGA-PBE-relaxed structure; Cu Kα X-rays).

Cell and atoms:
Cell: 7.896 7.896 7.896 Å, 62.76 62.76 62.76°
Fractional coordinates of all 14 atoms:
In 0.000 0.000 0.000
In 0.000 0.000 0.500
In 0.000 0.500 0.000
In 0.500 0.000 0.000
Hg 0.426 0.426 0.426
Hg 0.574 0.574 0.574
S 0.196 0.766 0.766
S 0.234 0.234 0.804
S 0.234 0.804 0.234
S 0.766 0.196 0.766
S 0.766 0.766 0.196
S 0.804 0.234 0.234
Br 0.261 0.261 0.261
Br 0.739 0.739 0.739

Main lines, in order of rising 2θ (10 to 90 degrees two-theta):
2θ (°)	d (Å)	intensity
14.04	6.309	328
21.61	4.111	1000
25.45	3.499	923
26.71	3.338	656
31.44	2.845	755
35.51	2.528	539
35.88	2.503	487
41.15	2.194	375
44.05	2.056	843
47.67	1.908	606